No. 1
This entry pairs a crystal structure of MgV4S8 with its simulated PXRD pattern. Radiation: CuKα. Structure: a DFT-relaxed cell (PBE, the Materials Project).
Intensities are scaled so that the largest is 100.

Structural model:
```
data_MgV4S8
_cell_length_a 9.878
_cell_length_b 9.878
_cell_length_c 9.878
_cell_angle_alpha 90.00
_cell_angle_beta 90.00
_cell_angle_gamma 90.00
_symmetry_space_group_name_H-M 'F -4 3 m'
_symmetry_Int_Tables_number 216
_symmetry_space_group_name_Hall 'F -4 2 3'
loop_
_atom_site_label
_atom_site_type_symbol
_atom_site_fract_x
_atom_site_fract_y
_atom_site_fract_z
Mg1 Mg 0.000 0.000 0.000
V1 V 0.110 0.110 0.610
S1 S 0.126 0.126 0.374
S2 S 0.140 0.140 0.860
```

Principal peaks in the range 2θ from 10° to 90°, in order of rising 2θ:
| two_theta | d/Å | intensity |
| --- | --- | --- |
| 15.5 | 5.703 | 74.4 |
| 30.0 | 2.978 | 43.8 |
| 36.4 | 2.470 | 100.0 |
| 39.8 | 2.266 | 10.4 |
| 45.0 | 2.016 | 17.1 |
| 47.8 | 1.901 | 34.1 |
| 52.4 | 1.746 | 72.4 |
| 65.5 | 1.426 | 16.4 |
| 82.9 | 1.164 | 10.1 |
| 88.5 | 1.104 | 17.7 |

---

No. 2
This entry pairs a crystal structure of Li4Ti3NbO8 with its simulated PXRD pattern. Radiation: CuKα. Structure: a DFT-relaxed cell (PBE, the Materials Project).
Intensities are scaled so that the largest is 100.

Structural model:
```
data_Li4Ti3NbO8
_cell_length_a 5.8454
_cell_length_b 5.8454
_cell_length_c 15.2763
_cell_angle_alpha 90.00
_cell_angle_beta 90.00
_cell_angle_gamma 120.00
_symmetry_space_group_name_H-M 'R -3 m'
_symmetry_Int_Tables_number 166
_symmetry_space_group_name_Hall '-R 3 2"'
loop_
_atom_site_label
_atom_site_type_symbol
_atom_site_fract_x
_atom_site_fract_y
_atom_site_fract_z
Li1 Li 0.0000 0.0000 0.0000
Li2 Li 0.0000 0.5000 0.0000
Ti1 Ti 0.0000 0.5000 0.5000
Nb1 Nb 0.0000 0.0000 0.5000
O1 O 0.0000 0.0000 0.2431
O2 O 0.0090 0.5045 0.7507
```

Principal peaks in the range 2θ from 10° to 90°, in order of rising 2θ:
| two_theta | d/Å | intensity |
| --- | --- | --- |
| 17.4 | 5.092 | 100.0 |
| 36.0 | 2.497 | 42.6 |
| 37.4 | 2.403 | 13.2 |
| 42.9 | 2.110 | 80.6 |
| 46.6 | 1.949 | 18.2 |
| 55.6 | 1.653 | 12.4 |
| 60.8 | 1.524 | 24.4 |
| 63.7 | 1.461 | 21.3 |
| 66.6 | 1.405 | 13.0 |
| 79.8 | 1.201 | 9.8 |